(1)
Structure and simulated powder diffraction line list of PtCl (a DFT-relaxed cell (PBE, OQMD); Cu Kα (weighted mean of Kα1 and Kα2)).
Lines closer than 0.1° are merged.

Peak list (10 most intense, 10° ≤ 2θ ≤ 90°, sorted by position)
two_theta, d_spacing, Rel. int., index
21.2, 4.184, 44, 0 0 1
33.7, 2.657, 56, 1 0 0
40.2, 2.243, 100, 1 0 1
43.2, 2.092, 16, 0 0 2
55.9, 1.644, 28, 1 0 2
60.3, 1.534, 17, 1 1 0
64.7, 1.440, 15, 1 1 1
75.0, 1.266, 16, 2 0 1
77.1, 1.237, 17, 1 1 2
77.3, 1.235, 15, 1 0 3

Structural model:
```
PtCl
1.0
3.0681 0.0000 0.0000
-1.5340 2.6571 0.0000
0.0000 0.0000 4.1841
Pt Cl
1 1
Cartesian
0.0000 0.0000 0.0000 Pt
0.0000 1.7714 2.0920 Cl
```

(2)
Structure and simulated powder diffraction line list of YCuPbSeS2 (a DFT-relaxed cell (PBE, OQMD); Cu Kα (weighted mean of Kα1 and Kα2)).
Lines closer than 0.1° are merged.

Peak list (10 most intense, 10° ≤ 2θ ≤ 90°, sorted by position)
two_theta, d_spacing, Rel. int., index
21.9, 4.055, 51, 2 0 2
25.0, 3.567, 38, 1 1 1
31.6, 2.836, 100, 1 1 3
32.2, 2.779, 27, 2 0 4
34.9, 2.568, 31, 4 0 0
35.1, 2.558, 38, 2 1 3
35.3, 2.545, 57, 3 1 1
40.4, 2.235, 29, 3 1 3
44.7, 2.028, 27, 4 0 4
44.8, 2.024, 38, 2 0 6

Structural model:
```
YCuPbSeS2
1.0
10.2703 0.0000 0.0000
0.0000 3.9723 0.0000
0.0000 0.0000 13.2169
Y Cu Pb Se S
4 4 4 4 8
Cartesian
0.0590 0.9931 3.2401 Y
5.0761 2.9792 9.8486 Y
5.1942 0.9931 3.3684 Y
10.2113 2.9792 9.9768 Y
2.4879 0.9931 10.2958 Cu
2.6472 2.9792 3.6874 Cu
7.6231 0.9931 9.5296 Cu
7.7824 2.9792 2.9211 Cu
2.4887 2.9792 0.0155 Pb
2.6465 0.9931 6.6239 Pb
7.6239 2.9792 6.5930 Pb
7.7816 0.9931 13.2015 Pb
0.7205 2.9792 5.2203 Se
4.4146 0.9931 11.8287 Se
5.8557 2.9792 1.3882 Se
9.5498 0.9931 7.9967 Se
0.6346 0.9931 11.7255 S
2.4971 2.9792 8.9419 S
2.6381 0.9931 2.3334 S
4.5006 2.9792 5.1170 S
5.7697 0.9931 8.1000 S
7.6322 2.9792 10.8836 S
7.7732 0.9931 4.2751 S
9.6358 2.9792 1.4915 S
```

(3)
Structure and simulated powder diffraction line list of FeAs4P4 (a DFT-relaxed cell (PBE, OQMD); Cu Kα (weighted mean of Kα1 and Kα2)).
Lines closer than 0.1° are merged.

Peak list (10 most intense, 10° ≤ 2θ ≤ 90°, sorted by position)
two_theta, d_spacing, Rel. int., index
28.7, 3.113, 64, 1 -1 0
28.9, 3.086, 66, 1 1 -1
32.0, 2.795, 100, 1 0 2
35.3, 2.543, 61, 1 2 1
36.6, 2.454, 35, 2 0 0
39.6, 2.278, 24, 0 2 -1
42.8, 2.114, 28, 2 0 -1
47.8, 1.904, 27, -1 2 1
51.0, 1.789, 27, 0 1 -3
51.5, 1.774, 37, 2 -1 2

Structural model:
```
FeAs4P4
1.0
5.2807 0.0000 0.0000
1.6689 5.1040 0.0000
1.4584 0.4191 5.8890
Fe As P
1 4 4
Cartesian
0.0000 0.0000 0.0000 Fe
2.5070 2.0119 2.3403 As
4.0479 3.4327 5.1771 As
5.2254 3.9822 1.2777 As
5.1976 0.3380 3.9946 As
3.0757 5.0684 1.7931 P
3.0242 1.3574 4.6276 P
4.3053 1.8630 0.6808 P
5.7929 3.3496 3.5251 P
```

Q: Number 2 is which compound?
A: YCuPbSeS2

Q: What is the formula in the second record?
A: YCuPbSeS2

Repeat the second record exactly.
Structure and simulated powder diffraction line list of YCuPbSeS2 (a DFT-relaxed cell (PBE, OQMD); Cu Kα (weighted mean of Kα1 and Kα2)).
Lines closer than 0.1° are merged.

Peak list (10 most intense, 10° ≤ 2θ ≤ 90°, sorted by position)
two_theta, d_spacing, Rel. int., index
21.9, 4.055, 51, 2 0 2
25.0, 3.567, 38, 1 1 1
31.6, 2.836, 100, 1 1 3
32.2, 2.779, 27, 2 0 4
34.9, 2.568, 31, 4 0 0
35.1, 2.558, 38, 2 1 3
35.3, 2.545, 57, 3 1 1
40.4, 2.235, 29, 3 1 3
44.7, 2.028, 27, 4 0 4
44.8, 2.024, 38, 2 0 6

Structural model:
```
YCuPbSeS2
1.0
10.2703 0.0000 0.0000
0.0000 3.9723 0.0000
0.0000 0.0000 13.2169
Y Cu Pb Se S
4 4 4 4 8
Cartesian
0.0590 0.9931 3.2401 Y
5.0761 2.9792 9.8486 Y
5.1942 0.9931 3.3684 Y
10.2113 2.9792 9.9768 Y
2.4879 0.9931 10.2958 Cu
2.6472 2.9792 3.6874 Cu
7.6231 0.9931 9.5296 Cu
7.7824 2.9792 2.9211 Cu
2.4887 2.9792 0.0155 Pb
2.6465 0.9931 6.6239 Pb
7.6239 2.9792 6.5930 Pb
7.7816 0.9931 13.2015 Pb
0.7205 2.9792 5.2203 Se
4.4146 0.9931 11.8287 Se
5.8557 2.9792 1.3882 Se
9.5498 0.9931 7.9967 Se
0.6346 0.9931 11.7255 S
2.4971 2.9792 8.9419 S
2.6381 0.9931 2.3334 S
4.5006 2.9792 5.1170 S
5.7697 0.9931 8.1000 S
7.6322 2.9792 10.8836 S
7.7732 0.9931 4.2751 S
9.6358 2.9792 1.4915 S
```